The following is a theoretical powder XRD pattern of Mg4Cu5Te3O18. It was derived from a crystal structure in the Materials Project, relaxed with PBE, using a wavelength of 1.5418 Å.
Lines closer than 0.1° are merged.

Crystal structure
```
Mg4Cu5Te3O18
1.0
7.551 -4.435 0.000
7.551 4.435 0.000
-1.189 0.000 10.373
Mg Cu Te O
8 10 6 36
Direct
0.018 0.018 0.285 Mg
0.298 0.665 0.215 Mg
0.321 0.278 0.331 Mg
0.335 0.702 0.785 Mg
0.594 0.005 0.831 Mg
0.722 0.679 0.669 Mg
0.982 0.982 0.715 Mg
0.995 0.406 0.169 Mg
0.128 0.201 0.804 Cu
0.188 0.483 0.696 Cu
0.341 0.357 0.986 Cu
0.490 0.510 0.500 Cu
0.517 0.812 0.304 Cu
0.643 0.659 0.014 Cu
0.673 0.024 0.487 Cu
0.799 0.872 0.196 Cu
0.827 0.173 0.000 Cu
0.976 0.327 0.513 Cu
0.009 0.676 0.448 Te
0.307 0.007 0.052 Te
0.324 0.991 0.552 Te
0.658 0.342 0.250 Te
0.658 0.342 0.750 Te
0.993 0.693 0.948 Te
0.072 0.461 0.344 O
0.083 0.771 0.822 O
0.085 0.109 0.950 O
0.087 0.767 0.322 O
0.107 0.091 0.445 O
0.113 0.454 0.862 O
0.203 0.230 0.638 O
0.209 0.593 0.056 O
0.229 0.917 0.178 O
0.231 0.574 0.550 O
0.233 0.913 0.678 O
0.244 0.222 0.156 O
0.378 0.118 0.924 O
0.407 0.791 0.944 O
0.417 0.440 0.800 O
0.426 0.769 0.450 O
0.430 0.428 0.325 O
0.436 0.062 0.424 O
0.539 0.928 0.656 O
0.546 0.887 0.138 O
0.560 0.583 0.200 O
0.572 0.570 0.675 O
0.575 0.278 0.084 O
0.595 0.257 0.583 O
0.722 0.425 0.916 O
0.743 0.405 0.417 O
0.745 0.114 0.826 O
0.756 0.101 0.300 O
0.770 0.797 0.362 O
0.778 0.756 0.844 O
0.882 0.622 0.076 O
0.886 0.255 0.174 O
0.891 0.915 0.050 O
0.899 0.244 0.700 O
0.909 0.893 0.555 O
0.938 0.564 0.576 O
```

Peak list (10 most intense, 10 to 90 degrees two-theta, low angle first)
| 2θ (°) | I_rel |
| --- | --- |
| 20.13 | 310 |
| 20.39 | 1000 |
| 27.72 | 342 |
| 29.85 | 544 |
| 31.40 | 307 |
| 34.65 | 310 |
| 35.11 | 639 |
| 35.28 | 359 |
| 47.90 | 291 |
| 54.16 | 385 |